1.
Simulated powder XRD pattern
Compound: TbPr4Se6
Radiation: Cu Kα X-rays
Structure: a DFT-relaxed cell (PBE, Alexandria)
Kinematic intensities with the Lorentz-polarization factor, no thermal factor.

Largest 10 diffraction maxima, by angle, 5 to 70 degrees two-theta:
23.89 deg, d 3.724, I 31.3; 25.77 deg, d 3.458, I 83.1; 30.42 deg, d 2.939, I 72.8; 31.73 deg, d 2.820, I 98.8; 33.98 deg, d 2.638, I 100.0; 35.43 deg, d 2.534, I 100.0; 39.82 deg, d 2.264, I 35.5; 45.84 deg, d 1.980, I 55.1; 55.27 deg, d 1.662, I 31.6; 68.58 deg, d 1.368, I 39.9

```
TbPr4Se6
1.0
5.9888 3.4576 4.7553
-5.9888 3.4576 4.7553
0.0000 -6.9152 4.7553
Tb Pr Se
2 8 12
direct
0.0000 0.0000 0.0000
0.5000 0.5000 0.5000
0.1354 0.7500 0.3646
0.2500 0.2500 0.2500
0.2500 0.6354 0.8646
0.3646 0.1354 0.7500
0.6354 0.8646 0.2500
0.7500 0.3646 0.1354
0.7500 0.7500 0.7500
0.8646 0.2500 0.6354
0.0609 0.9162 0.6815
0.0838 0.3185 0.9391
0.1815 0.4162 0.5609
0.3185 0.9391 0.0838
0.4162 0.5609 0.1815
0.4391 0.8185 0.5838
0.5609 0.1815 0.4162
0.5838 0.4391 0.8185
0.6815 0.0609 0.9162
0.8185 0.5838 0.4391
0.9162 0.6815 0.0609
0.9391 0.0838 0.3185
```

=====

2.
Simulated powder XRD pattern
Compound: Ba3GaI3
Radiation: Cu Kα X-rays
Structure: a DFT-relaxed cell (PBE, Alexandria)
Kinematic intensities with the Lorentz-polarization factor, no thermal factor.

Largest 10 diffraction maxima, by angle, 5 to 70 degrees two-theta:
8.85 deg, d 9.991, I 7.4; 15.36 deg, d 5.769, I 11.9; 23.56 deg, d 3.776, I 13.9; 25.21 deg, d 3.532, I 100.0; 29.65 deg, d 3.013, I 5.5; 35.95 deg, d 2.498, I 78.0; 44.42 deg, d 2.039, I 28.2; 51.76 deg, d 1.766, I 13.3; 58.42 deg, d 1.580, I 36.7; 64.63 deg, d 1.442, I 26.9

```
Ba3GaI3
1.0
-7.0650 7.0650 7.0650
7.0650 -7.0650 7.0650
7.0650 7.0650 -7.0650
Ba Ga I
12 4 12
direct
0.0062 0.0124 0.2562
0.0062 0.4938 0.7500
0.0124 0.2562 0.0062
0.2438 0.2562 0.7500
0.2438 0.4876 0.4938
0.2562 0.0062 0.0124
0.2562 0.7500 0.2438
0.4876 0.4938 0.2438
0.4938 0.2438 0.4876
0.4938 0.7500 0.0062
0.7500 0.0062 0.4938
0.7500 0.2438 0.2562
0.0000 0.2500 0.5000
0.2500 0.2500 0.2500
0.2500 0.5000 0.0000
0.5000 0.0000 0.2500
0.9998 0.9997 0.7498
0.9998 0.5002 0.2500
0.9997 0.7498 0.9998
0.2500 0.9998 0.5002
0.2500 0.7502 0.7498
0.5002 0.2500 0.9998
0.5003 0.5002 0.7502
0.5002 0.7502 0.5003
0.7498 0.9998 0.9997
0.7498 0.2500 0.7502
0.7502 0.5003 0.5002
0.7502 0.7498 0.2500
```